Calculated X-ray powder pattern of Ni2PO5 for Cu Kα, 1.54184 Å, from DFT lattice parameters and positions (PBE+U).

Most intense lines, 15° ≤ 2θ ≤ 90°, sorted by position:
Position (°2θ)	I (rel.)	h k l
18.1	34.7	1 0 1
27.8	100.0	1 0 3
29.7	13.4	0 0 4
36.7	22.3	2 0 2
38.3	26.0	2 1 1
44.0	27.7	2 1 3
48.0	16.4	2 2 0
56.4	13.1	3 0 3
57.4	22.3	2 0 6
57.5	29.2	2 2 4
66.9	9.1	2 1 7
70.3	11.5	4 0 0

Cell and atoms:
Cell lengths 5.357, 5.357, 12.046 Å; angles 90.00, 90.00, 90.00 degrees
Space group I4_1/amd (No. 141, origin choice 2)
Asymmetric unit:
Ni (0.000, 0.000, 0.000) [8 per cell]
P (0.000, 0.250, 0.375) [4 per cell]
O (0.000, 0.007, 0.306) [16 per cell]
O (0.000, 0.250, 0.875) [4 per cell]